Diffraction record for CaCeTc2O8. The powder X-ray diffraction pattern is theoretical, not measured: it uses a GGA-PBE-relaxed structure and a wavelength of 1.5418 Å.

Main lines, most intense first (10 to 80 degrees two-theta):
index, d [Å], Rel. int.
0 1 1, 4.116, 100
1 1 0, 2.972, 58
1 0 2, 2.853, 41
0 2 2, 2.058, 26
1 2 1, 1.872, 22
2 1 2, 1.692, 19
1 1 3, 1.812, 16
2 2 0, 1.486, 13
3 0 0, 1.716, 12
2 0 1, 2.409, 11
1 0 0, 5.147, 11
0 1 4, 1.626, 10

Cell and atoms:
```
data_CaCeTc2O8
_chemical_formula_sum 'Ca1 Ce1 Tc2 O8'
_cell_length_a 5.943
_cell_length_b 5.943
_cell_length_c 6.856
_cell_angle_alpha 90.00
_cell_angle_beta 90.00
_cell_angle_gamma 120.00
_symmetry_space_group_name_H-M 'P 1'
_symmetry_Int_Tables_number 1
_symmetry_space_group_name_Hall 'P 1'
loop_
_atom_site_label
_atom_site_type_symbol
_atom_site_fract_x
_atom_site_fract_y
_atom_site_fract_z
Ca1 Ca 0.000 0.000 0.000
Ce1 Ce 0.000 0.000 0.500
Tc1 Tc 0.333 0.667 0.817
Tc2 Tc 0.667 0.333 0.183
O1 O 0.162 0.324 0.732
O2 O 0.162 0.838 0.732
O3 O 0.324 0.162 0.268
O4 O 0.333 0.667 0.072
O5 O 0.667 0.333 0.928
O6 O 0.676 0.838 0.732
O7 O 0.838 0.162 0.268
O8 O 0.838 0.676 0.268
```